This entry pairs a crystal structure of RbLiMnB4H16 with its theoretical powder diffraction line list. Radiation: Cu Kα X-rays. Structure: a cell relaxed with GGA-PBE.

Structural model:
```
RbLiMnB4H16
1.0
8.227 0.000 0.000
0.000 4.800 6.199
0.000 -4.800 6.199
Rb Li Mn B H
2 2 2 8 32
Cartesian
0.000 0.000 0.000
4.113 0.000 6.199
0.000 0.000 7.917
4.113 0.000 1.717
0.000 0.000 4.398
4.113 0.000 10.598
0.803 1.601 6.087
2.022 -0.092 3.081
2.092 -0.092 9.281
3.310 -3.200 6.087
4.916 3.200 6.087
6.135 0.092 9.281
6.205 0.092 3.081
7.424 -1.601 6.087
0.100 1.816 7.067
0.107 1.844 5.081
1.065 0.461 9.647
1.168 0.805 2.953
1.181 0.416 6.086
1.715 -0.939 3.937
1.780 2.315 6.046
1.972 -0.690 8.225
2.141 -0.690 2.025
2.333 -2.485 6.046
2.398 -0.939 10.137
2.933 -4.384 6.086
2.946 0.805 9.152
3.049 0.461 3.448
4.006 -2.957 5.081
4.013 -2.984 7.067
4.214 2.984 7.067
4.220 2.957 5.081
5.178 -0.461 3.448
5.281 -0.805 9.152
5.294 4.384 6.086
5.829 0.939 10.137
5.894 2.485 6.046
6.086 0.690 2.025
6.255 0.690 8.225
6.446 -2.315 6.046
6.511 0.939 3.937
7.046 -0.416 6.086
7.059 -0.805 2.953
7.162 -0.461 9.647
8.120 -1.844 5.081
8.127 -1.816 7.067
```

Main lines, by intensity (15 to 90 degrees two-theta):
d/Å  two_theta  Rel. int.
3.447  25.85  100
4.800  18.48  81
5.579  15.89  52
2.418  37.18  49
4.113  21.60  37
2.223  40.58  35
3.428  26.00  34
2.789  32.09  32